1.
This entry pairs a crystal structure of TmGeH2O4 with its computed powder X-ray diffraction pattern. Radiation: Cu Ka. Structure: a PBE-relaxed structure.
Intensities are scaled so that the largest is 1000.

Atomic structure:
a b c (Å): 6.059 6.042 7.049
angles (deg): 54.49 54.26 71.25
Atoms (fractional coordinates):
Tm 0.000 0.000 0.000
Tm 0.250 0.250 0.250
Ge 0.541 0.541 0.459
Ge 0.791 0.791 0.709
H 0.159 0.587 0.830
H 0.420 0.826 0.091
H 0.587 0.159 0.424
H 0.826 0.420 0.663
O 0.033 0.916 0.711
O 0.262 0.412 0.860
O 0.390 0.784 0.988
O 0.412 0.262 0.466
O 0.539 0.909 0.217
O 0.784 0.390 0.838
O 0.909 0.539 0.334
O 0.916 0.033 0.341

Largest 10 diffraction maxima, sorted by position, 10° ≤ 2θ ≤ 90°:
2θ = 18.0°, intensity 377; 2θ = 25.3°, intensity 1000; 2θ = 31.2°, intensity 136; 2θ = 31.7°, intensity 964; 2θ = 36.0°, intensity 163; 2θ = 36.1°, intensity 158; 2θ = 41.5°, intensity 112; 2θ = 48.7°, intensity 761; 2θ = 51.9°, intensity 148; 2θ = 60.0°, intensity 154


2.
This entry pairs a crystal structure of LiScRe2 with its computed powder X-ray diffraction pattern. Radiation: Cu Ka. Structure: a PBE-relaxed structure.
Intensities are scaled so that the largest is 1000.

Atomic structure:
a b c (Å): 4.410 4.410 4.410
angles (deg): 60.00 60.00 60.00
Atoms (fractional coordinates):
Li 0.000 0.000 0.000
Sc 0.250 0.250 0.250
Re 0.500 0.500 0.500
Re 0.750 0.750 0.750

Largest 9 diffraction maxima, sorted by position, 10° ≤ 2θ ≤ 90°:
2θ = 24.7°, intensity 725; 2θ = 28.6°, intensity 12; 2θ = 40.9°, intensity 1000; 2θ = 48.4°, intensity 372; 2θ = 59.3°, intensity 169; 2θ = 65.2°, intensity 155; 2θ = 74.5°, intensity 342; 2θ = 79.9°, intensity 119; 2θ = 88.7°, intensity 113


3.
This entry pairs a crystal structure of Tm2NbFeSi2 with its computed powder X-ray diffraction pattern. Radiation: Cu Ka. Structure: a PBE-relaxed structure.
Intensities are scaled so that the largest is 1000.

Atomic structure:
a b c (Å): 3.921 3.921 7.314
angles (deg): 90.00 90.00 90.00
Atoms (fractional coordinates):
Tm 0.000 0.500 0.151
Tm 0.500 0.000 0.849
Nb 0.500 0.500 0.500
Fe 0.000 0.000 0.500
Si 0.000 0.500 0.734
Si 0.500 0.000 0.266

Largest 10 diffraction maxima, sorted by position, 10° ≤ 2θ ≤ 90°:
2θ = 25.8°, intensity 839; 2θ = 32.3°, intensity 284; 2θ = 33.5°, intensity 1000; 2θ = 34.6°, intensity 993; 2θ = 36.9°, intensity 371; 2θ = 40.8°, intensity 535; 2θ = 46.3°, intensity 549; 2θ = 53.8°, intensity 236; 2θ = 58.4°, intensity 412; 2θ = 60.6°, intensity 565


4.
This entry pairs a crystal structure of ZrTeSeS with its computed powder X-ray diffraction pattern. Radiation: Cu Ka. Structure: a PBE-relaxed structure.
Intensities are scaled so that the largest is 1000.

Atomic structure:
a b c (Å): 5.332 3.838 10.202
angles (deg): 90.00 98.65 90.00
Atoms (fractional coordinates):
Zr 0.203 0.250 0.349
Zr 0.797 0.750 0.651
Te 0.385 0.750 0.159
Te 0.615 0.250 0.841
Se 0.268 0.750 0.548
Se 0.732 0.250 0.452
S 0.056 0.250 0.788
S 0.944 0.750 0.212

Largest 10 diffraction maxima, sorted by position, 10° ≤ 2θ ≤ 90°:
2θ = 20.1°, intensity 423; 2θ = 29.2°, intensity 1000; 2θ = 32.5°, intensity 150; 2θ = 36.0°, intensity 243; 2θ = 36.5°, intensity 168; 2θ = 37.7°, intensity 201; 2θ = 41.3°, intensity 319; 2θ = 41.6°, intensity 238; 2θ = 47.4°, intensity 192; 2θ = 52.0°, intensity 139


5.
This entry pairs a crystal structure of DyNb2P3 with its computed powder X-ray diffraction pattern. Radiation: Cu Ka. Structure: a PBE-relaxed structure.
Intensities are scaled so that the largest is 1000.

Atomic structure:
a b c (Å): 3.740 3.740 8.971
angles (deg): 90.00 90.00 120.00
Atoms (fractional coordinates):
Dy 0.000 0.000 0.000
Nb 0.333 0.667 0.354
Nb 0.667 0.333 0.646
P 0.000 0.000 0.500
P 0.333 0.667 0.809
P 0.667 0.333 0.191

Largest 10 diffraction maxima, sorted by position, 10° ≤ 2θ ≤ 90°:
2θ = 29.3°, intensity 586; 2θ = 29.9°, intensity 156; 2θ = 34.1°, intensity 1000; 2θ = 48.7°, intensity 369; 2θ = 49.4°, intensity 332; 2θ = 58.2°, intensity 146; 2θ = 60.8°, intensity 182; 2θ = 71.9°, intensity 107; 2θ = 81.5°, intensity 158; 2θ = 82.6°, intensity 108


6.
This entry pairs a crystal structure of TbNbN2O with its computed powder X-ray diffraction pattern. Radiation: Cu Ka. Structure: a PBE-relaxed structure.
Intensities are scaled so that the largest is 1000.

Atomic structure:
a b c (Å): 7.857 5.536 5.773
angles (deg): 90.00 90.00 90.00
Atoms (fractional coordinates):
Tb 0.000 0.246 0.000
Tb 0.000 0.754 0.500
Tb 0.500 0.249 0.117
Tb 0.500 0.751 0.617
Nb 0.256 0.266 0.571
Nb 0.256 0.734 0.071
Nb 0.744 0.266 0.571
Nb 0.744 0.734 0.071
N 0.000 0.340 0.578
N 0.000 0.660 0.078
N 0.301 0.441 0.858
N 0.301 0.559 0.358
N 0.500 0.144 0.506
N 0.500 0.856 0.006
N 0.699 0.441 0.858
N 0.699 0.559 0.358
O 0.199 0.062 0.229
O 0.199 0.938 0.729
O 0.801 0.062 0.229
O 0.801 0.938 0.729

Largest 10 diffraction maxima, sorted by position, 10° ≤ 2θ ≤ 90°:
2θ = 25.0°, intensity 112; 2θ = 31.0°, intensity 219; 2θ = 31.9°, intensity 1000; 2θ = 32.3°, intensity 256; 2θ = 45.4°, intensity 187; 2θ = 46.2°, intensity 128; 2θ = 46.9°, intensity 125; 2θ = 51.6°, intensity 108; 2θ = 57.4°, intensity 222; 2θ = 57.5°, intensity 111


7.
This entry pairs a crystal structure of YZnB4 with its computed powder X-ray diffraction pattern. Radiation: Cu Ka. Structure: a PBE-relaxed structure.
Intensities are scaled so that the largest is 1000.

Atomic structure:
a b c (Å): 4.980 4.980 4.980
angles (deg): 142.71 116.33 76.16
Atoms (fractional coordinates):
Y 0.000 0.000 0.000
Zn 0.500 0.500 0.000
B 0.063 0.739 0.324
B 0.415 0.739 0.676
B 0.585 0.261 0.324
B 0.937 0.261 0.676

Largest 10 diffraction maxima, sorted by position, 10° ≤ 2θ ≤ 90°:
2θ = 22.7°, intensity 579; 2θ = 32.9°, intensity 624; 2θ = 34.1°, intensity 264; 2θ = 40.3°, intensity 1000; 2θ = 41.4°, intensity 488; 2θ = 46.3°, intensity 202; 2θ = 58.0°, intensity 340; 2θ = 60.3°, intensity 168; 2θ = 73.6°, intensity 162; 2θ = 79.3°, intensity 146


8.
This entry pairs a crystal structure of GdTmSn2Pd4 with its computed powder X-ray diffraction pattern. Radiation: Cu Ka. Structure: a PBE-relaxed structure.
Intensities are scaled so that the largest is 1000.

Atomic structure:
a b c (Å): 4.579 4.579 8.935
angles (deg): 90.00 90.00 120.00
Atoms (fractional coordinates):
Gd 0.000 0.000 0.000
Tm 0.333 0.667 0.500
Sn 0.667 0.333 0.254
Sn 0.667 0.333 0.746
Pd 0.000 0.000 0.338
Pd 0.000 0.000 0.662
Pd 0.333 0.667 0.167
Pd 0.333 0.667 0.833

Largest 10 diffraction maxima, sorted by position, 10° ≤ 2θ ≤ 90°:
2θ = 30.1°, intensity 369; 2θ = 37.8°, intensity 959; 2θ = 39.4°, intensity 1000; 2θ = 50.3°, intensity 92; 2θ = 55.7°, intensity 309; 2θ = 67.1°, intensity 160; 2θ = 70.3°, intensity 304; 2θ = 71.3°, intensity 174; 2θ = 80.7°, intensity 97; 2θ = 84.7°, intensity 112


9.
This entry pairs a crystal structure of WS2Cl2 with its computed powder X-ray diffraction pattern. Radiation: Cu Ka. Structure: a PBE-relaxed structure.
Intensities are scaled so that the largest is 1000.

Atomic structure:
a b c (Å): 7.730 4.703 11.169
angles (deg): 90.00 90.00 90.00
Atoms (fractional coordinates):
W 0.000 0.061 0.000
W 0.000 0.939 0.500
S 0.000 0.064 0.189
S 0.000 0.499 0.941
S 0.000 0.501 0.441
S 0.000 0.936 0.689
Cl 0.281 0.040 0.448
Cl 0.281 0.960 0.948
Cl 0.719 0.040 0.448
Cl 0.719 0.960 0.948

Largest 10 diffraction maxima, sorted by position, 10° ≤ 2θ ≤ 90°:
2θ = 11.4°, intensity 1000; 2θ = 15.9°, intensity 526; 2θ = 18.9°, intensity 332; 2θ = 19.6°, intensity 301; 2θ = 22.1°, intensity 178; 2θ = 23.0°, intensity 117; 2θ = 24.8°, intensity 187; 2θ = 27.3°, intensity 137; 2θ = 34.1°, intensity 157; 2θ = 39.9°, intensity 121


10.
This entry pairs a crystal structure of BiPd15 with its computed powder X-ray diffraction pattern. Radiation: Cu Ka. Structure: a PBE-relaxed structure.
Intensities are scaled so that the largest is 1000.

Atomic structure:
a b c (Å): 3.947 3.947 43.140
angles (deg): 90.00 90.00 90.00
Atoms (fractional coordinates):
Bi 0.250 0.000 0.153
Bi 0.750 0.000 0.847
Pd 0.250 0.000 0.251
Pd 0.250 0.000 0.342
Pd 0.250 0.000 0.432
Pd 0.250 0.000 0.523
Pd 0.250 0.000 0.613
Pd 0.250 0.000 0.704
Pd 0.250 0.000 0.796
Pd 0.250 0.500 0.204
Pd 0.250 0.500 0.296
Pd 0.250 0.500 0.387
Pd 0.250 0.500 0.477
Pd 0.250 0.500 0.568
Pd 0.250 0.500 0.658
Pd 0.250 0.500 0.749
Pd 0.250 0.500 0.842
Pd 0.750 0.000 0.204
Pd 0.750 0.000 0.296
Pd 0.750 0.000 0.387
Pd 0.750 0.000 0.477
Pd 0.750 0.000 0.568
Pd 0.750 0.000 0.658
Pd 0.750 0.000 0.749
Pd 0.750 0.500 0.158
Pd 0.750 0.500 0.251
Pd 0.750 0.500 0.342
Pd 0.750 0.500 0.432
Pd 0.750 0.500 0.523
Pd 0.750 0.500 0.613
Pd 0.750 0.500 0.704
Pd 0.750 0.500 0.796

Largest 10 diffraction maxima, sorted by position, 10° ≤ 2θ ≤ 90°:
2θ = 37.3°, intensity 94; 2θ = 38.4°, intensity 105; 2θ = 39.6°, intensity 1000; 2θ = 46.0°, intensity 383; 2θ = 46.3°, intensity 150; 2θ = 67.1°, intensity 121; 2θ = 67.3°, intensity 191; 2θ = 80.8°, intensity 246; 2θ = 81.3°, intensity 103; 2θ = 85.4°, intensity 101


11.
This entry pairs a crystal structure of BeZn2 with its computed powder X-ray diffraction pattern. Radiation: Cu Ka. Structure: a PBE-relaxed structure.
Intensities are scaled so that the largest is 1000.

Atomic structure:
a b c (Å): 4.150 7.853 4.516
angles (deg): 90.00 90.00 90.00
Atoms (fractional coordinates):
Be 0.250 0.086 0.073
Be 0.250 0.414 0.073
Be 0.750 0.586 0.927
Be 0.750 0.914 0.927
Zn 0.250 0.250 0.563
Zn 0.250 0.575 0.614
Zn 0.250 0.750 0.094
Zn 0.250 0.925 0.614
Zn 0.750 0.075 0.386
Zn 0.750 0.250 0.906
Zn 0.750 0.425 0.386
Zn 0.750 0.750 0.437

Largest 10 diffraction maxima, sorted by position, 10° ≤ 2θ ≤ 90°:
2θ = 19.7°, intensity 401; 2θ = 29.2°, intensity 171; 2θ = 31.4°, intensity 242; 2θ = 39.8°, intensity 350; 2θ = 40.8°, intensity 200; 2θ = 43.6°, intensity 432; 2θ = 45.6°, intensity 1000; 2θ = 45.7°, intensity 608; 2θ = 60.5°, intensity 229; 2θ = 81.6°, intensity 267


12.
This entry pairs a crystal structure of Ag7Bi with its computed powder X-ray diffraction pattern. Radiation: Cu Ka. Structure: a PBE-relaxed structure.
Intensities are scaled so that the largest is 1000.

Atomic structure:
a b c (Å): 2.992 2.992 40.885
angles (deg): 90.00 90.00 90.00
Atoms (fractional coordinates):
Ag 0.250 0.250 0.025
Ag 0.250 0.250 0.123
Ag 0.250 0.250 0.221
Ag 0.250 0.250 0.319
Ag 0.250 0.250 0.731
Ag 0.250 0.250 0.828
Ag 0.250 0.250 0.926
Ag 0.750 0.750 0.074
Ag 0.750 0.750 0.172
Ag 0.750 0.750 0.269
Ag 0.750 0.750 0.681
Ag 0.750 0.750 0.779
Ag 0.750 0.750 0.877
Ag 0.750 0.750 0.975
Bi 0.250 0.250 0.621
Bi 0.750 0.750 0.379

Largest 10 diffraction maxima, sorted by position, 10° ≤ 2θ ≤ 90°:
2θ = 33.7°, intensity 82; 2θ = 37.2°, intensity 1000; 2θ = 38.6°, intensity 71; 2θ = 42.7°, intensity 373; 2θ = 44.3°, intensity 131; 2θ = 62.0°, intensity 118; 2θ = 63.3°, intensity 170; 2θ = 74.6°, intensity 259; 2θ = 76.9°, intensity 72; 2θ = 79.4°, intensity 111